# 1
# Er2Pa3Te8
Computed powder XRD pattern, CuKα. Input: a cell relaxed with GGA-PBE.
Neutral-atom scattering factors, no anomalous dispersion.

Atomic structure:
```
data_Er2Pa3Te8
_chemical_formula_sum 'Er4 Pa6 Te16'
_cell_length_a 15.6518
_cell_length_b 8.4994
_cell_length_c 7.1893
_cell_angle_alpha 90.00
_cell_angle_beta 105.63
_cell_angle_gamma 90.00
_space_group_name_H-M_alt 'C 1 2/m 1'
_space_group_IT_number 12
_space_group_name_Hall '-C 2y'
loop_
_atom_site_label
_atom_site_type_symbol
_atom_site_fract_x
_atom_site_fract_y
_atom_site_fract_z
Er1 Er 0.2481 0.0000 0.3247
Pa1 Pa 0.0000 0.0000 0.5000
Pa2 Pa 0.0000 0.2332 0.0000
Te1 Te 0.1072 0.5000 0.8873
Te2 Te 0.1257 0.2553 0.4124
Te3 Te 0.1358 0.0000 0.9061
```

Main lines, by angle (5 to 70 degrees two-theta):
- (1 1 1), d = 4.753 Å, 2θ = 18.67°, intensity 29
- (2 2 -1), d = 3.461 Å, 2θ = 25.74°, intensity 91
- (2 0 2), d = 2.866 Å, 2θ = 31.20°, intensity 61
- (4 2 -1), d = 2.817 Å, 2θ = 31.76°, intensity 100
- (4 2 1), d = 2.444 Å, 2θ = 36.77°, intensity 64
- (6 0 -2), d = 2.357 Å, 2θ = 38.17°, intensity 33
- (0 4 0), d = 2.125 Å, 2θ = 42.55°, intensity 31
- (2 2 -3), d = 2.086 Å, 2θ = 43.37°, intensity 63
- (8 0 0), d = 1.884 Å, 2θ = 48.30°, intensity 24
- (2 4 2), d = 1.707 Å, 2θ = 53.70°, intensity 25

=====

# 2
# Er2Pa2Te7
Computed powder XRD pattern, CuKα. Input: a cell relaxed with GGA-PBE.
Neutral-atom scattering factors, no anomalous dispersion.

Atomic structure:
```
data_Er2Pa2Te7
_chemical_formula_sum 'Er4 Pa4 Te14'
_cell_length_a 4.2175
_cell_length_b 16.0929
_cell_length_c 9.7000
_cell_angle_alpha 90.00
_cell_angle_beta 90.00
_cell_angle_gamma 90.00
_space_group_name_H-M_alt 'I m m 2'
_space_group_IT_number 44
_space_group_name_Hall 'I 2 -2'
loop_
_atom_site_label
_atom_site_type_symbol
_atom_site_fract_x
_atom_site_fract_y
_atom_site_fract_z
Er1 Er 0.0000 0.2392 0.0000
Pa1 Pa 0.0000 0.0000 0.2274
Pa2 Pa 0.0000 0.5000 0.1762
Te1 Te 0.0000 0.0000 0.9123
Te2 Te 0.0000 0.1094 0.5030
Te3 Te 0.0000 0.3187 0.2943
Te4 Te 0.0000 0.3619 0.6804
```

Main lines, by angle (5 to 70 degrees two-theta):
- (0 2 2), d = 4.154 Å, 2θ = 21.39°, intensity 25
- (1 0 1), d = 3.868 Å, 2θ = 22.99°, intensity 16
- (1 1 2), d = 3.122 Å, 2θ = 28.59°, intensity 28
- (1 4 1), d = 2.788 Å, 2θ = 32.10°, intensity 100
- (0 3 3), d = 2.769 Å, 2θ = 32.33°, intensity 20
- (1 3 2), d = 2.737 Å, 2θ = 32.72°, intensity 29
- (1 2 3), d = 2.445 Å, 2θ = 36.76°, intensity 52
- (0 6 2), d = 2.347 Å, 2θ = 38.35°, intensity 28
- (2 0 0), d = 2.109 Å, 2θ = 42.89°, intensity 28
- (1 4 5), d = 1.615 Å, 2θ = 57.04°, intensity 20

=====

# 3
# Er5Pb2
Computed powder XRD pattern, CuKα. Input: a cell relaxed with GGA-PBE.
Neutral-atom scattering factors, no anomalous dispersion.

Atomic structure:
```
data_Er5Pb2
_chemical_formula_sum 'Er20 Pb8'
_cell_length_a 4.5739
_cell_length_b 39.2033
_cell_length_c 4.5902
_cell_angle_alpha 90.00
_cell_angle_beta 90.00
_cell_angle_gamma 90.00
_space_group_name_H-M_alt 'C m c m'
_space_group_IT_number 63
_space_group_name_Hall '-C 2c 2'
loop_
_atom_site_label
_atom_site_type_symbol
_atom_site_fract_x
_atom_site_fract_y
_atom_site_fract_z
Er1 Er 0.0000 0.0342 0.2500
Er2 Er 0.0000 0.1087 0.7500
Er3 Er 0.0000 0.2500 0.2500
Er4 Er 0.0000 0.3232 0.7500
Er5 Er 0.0000 0.4647 0.2500
Pb1 Pb 0.0000 0.1892 0.7500
Pb2 Pb 0.0000 0.4037 0.7500
```

Main lines, by angle (5 to 70 degrees two-theta):
- (1 1 1), d = 3.229 Å, 2θ = 27.63°, intensity 21
- (1 5 1), d = 2.994 Å, 2θ = 29.84°, intensity 73
- (0 14 0), d = 2.800 Å, 2θ = 31.96°, intensity 40
- (1 9 1), d = 2.600 Å, 2θ = 34.50°, intensity 100
- (0 0 2), d = 2.295 Å, 2θ = 39.25°, intensity 31
- (2 0 0), d = 2.287 Å, 2θ = 39.40°, intensity 31
- (0 14 2), d = 1.775 Å, 2θ = 51.48°, intensity 22
- (2 14 0), d = 1.771 Å, 2θ = 51.60°, intensity 21
- (2 0 2), d = 1.620 Å, 2θ = 56.84°, intensity 22
- (2 14 2), d = 1.402 Å, 2θ = 66.71°, intensity 20

=====

# 4
# Er3Pb2
Computed powder XRD pattern, CuKα. Input: a cell relaxed with GGA-PBE.
Neutral-atom scattering factors, no anomalous dispersion.

Atomic structure:
```
data_Er3Pb2
_chemical_formula_sum 'Er12 Pb8'
_cell_length_a 6.1525
_cell_length_b 6.1525
_cell_length_c 15.4305
_cell_angle_alpha 90.00
_cell_angle_beta 90.00
_cell_angle_gamma 90.00
_space_group_name_H-M_alt 'I 41/a m d'
_space_group_IT_number 141
loop_
_space_group_symop_operation_xyz
'x,y,z'
'-x,-y,-z'
'-y+1/4,x+3/4,z+1/4'
'y+1/4,-x+3/4,-z+1/4'
'-x+1/2,-y,z+1/2'
'x+1/2,y,-z+1/2'
'y+1/4,-x+1/4,z+3/4'
'-y+1/4,x+1/4,-z+3/4'
'x,-y,-z'
'-x,y,z'
'-y+1/4,-x+1/4,-z+3/4'
'y+1/4,x+1/4,z+3/4'
'-x+1/2,y,-z+1/2'
'x+1/2,-y,z+1/2'
'y+1/4,x+3/4,-z+1/4'
'-y+1/4,-x+3/4,z+1/4'
'x+1/2,y+1/2,z+1/2'
'-x+1/2,-y+1/2,-z+1/2'
'-y+3/4,x+1/4,z+3/4'
'y+3/4,-x+1/4,-z+3/4'
'-x,-y+1/2,z'
'x,y+1/2,-z'
'y+3/4,-x+3/4,z+1/4'
'-y+3/4,x+3/4,-z+1/4'
'x+1/2,-y+1/2,-z+1/2'
'-x+1/2,y+1/2,z+1/2'
'-y+3/4,-x+3/4,-z+1/4'
'y+3/4,x+3/4,z+1/4'
'-x,y+1/2,-z'
'x,-y+1/2,z'
'y+3/4,x+1/4,-z+3/4'
'-y+3/4,-x+1/4,z+3/4'
loop_
_atom_site_label
_atom_site_type_symbol
_atom_site_fract_x
_atom_site_fract_y
_atom_site_fract_z
Er1 Er 0.0000 0.0000 0.0000
Er2 Er 0.0000 0.2500 0.3750
Pb1 Pb 0.0000 0.2500 0.1757
```

Main lines, by angle (5 to 70 degrees two-theta):
- (2 0 0), d = 3.076 Å, 2θ = 29.03°, intensity 67
- (2 0 2), d = 2.857 Å, 2θ = 31.30°, intensity 37
- (1 0 5), d = 2.759 Å, 2θ = 32.46°, intensity 100
- (2 1 1), d = 2.709 Å, 2θ = 33.07°, intensity 81
- (2 1 3), d = 2.426 Å, 2θ = 37.05°, intensity 35
- (2 2 4), d = 1.895 Å, 2θ = 48.02°, intensity 39
- (3 0 5), d = 1.708 Å, 2θ = 53.66°, intensity 25
- (3 2 1), d = 1.696 Å, 2θ = 54.07°, intensity 20
- (4 0 0), d = 1.538 Å, 2θ = 60.16°, intensity 22
- (1 1 10), d = 1.455 Å, 2θ = 64.01°, intensity 26

=====

# 5
# Er5Pb4
Computed powder XRD pattern, CuKα. Input: a cell relaxed with GGA-PBE.
Neutral-atom scattering factors, no anomalous dispersion.

Atomic structure:
```
data_Er5Pb4
_chemical_formula_sum 'Er20 Pb16'
_cell_length_a 8.1593
_cell_length_b 15.5102
_cell_length_c 8.2109
_cell_angle_alpha 90.00
_cell_angle_beta 90.00
_cell_angle_gamma 90.00
_space_group_name_H-M_alt 'P n m a'
_space_group_IT_number 62
_space_group_name_Hall '-P 2ac 2n'
loop_
_atom_site_label
_atom_site_type_symbol
_atom_site_fract_x
_atom_site_fract_y
_atom_site_fract_z
Er1 Er 0.0404 0.1000 0.1752
Er2 Er 0.1209 0.6208 0.3438
Er3 Er 0.2123 0.2500 0.5043
Pb1 Pb 0.0735 0.2500 0.8749
Pb2 Pb 0.1478 0.7500 0.6537
Pb3 Pb 0.2205 0.0432 0.5329
```

Main lines, by angle (5 to 70 degrees two-theta):
- (2 2 1), d = 3.306 Å, 2θ = 26.97°, intensity 19
- (1 3 2), d = 2.989 Å, 2θ = 29.89°, intensity 100
- (2 0 2), d = 2.894 Å, 2θ = 30.90°, intensity 28
- (0 4 2), d = 2.815 Å, 2θ = 31.79°, intensity 34
- (1 5 1), d = 2.734 Å, 2θ = 32.76°, intensity 24
- (2 4 1), d = 2.660 Å, 2θ = 33.69°, intensity 57
- (0 6 0), d = 2.583 Å, 2θ = 34.73°, intensity 42
- (1 1 3), d = 2.559 Å, 2θ = 35.06°, intensity 42
- (3 1 1), d = 2.547 Å, 2θ = 35.24°, intensity 28
- (3 5 1), d = 1.984 Å, 2θ = 45.72°, intensity 17

=====

# 6
# Pm12ErPb6
Computed powder XRD pattern, CuKα. Input: a cell relaxed with GGA-PBE.
Neutral-atom scattering factors, no anomalous dispersion.

Atomic structure:
```
data_Pm12ErPb6
_chemical_formula_sum 'Pm36 Er3 Pb18'
_cell_length_a 11.7311
_cell_length_b 11.7311
_cell_length_c 15.1377
_cell_angle_alpha 90.00
_cell_angle_beta 90.00
_cell_angle_gamma 120.00
_space_group_name_H-M_alt 'R -3'
_space_group_IT_number 148
_space_group_name_Hall '-R 3'
loop_
_atom_site_label
_atom_site_type_symbol
_atom_site_fract_x
_atom_site_fract_y
_atom_site_fract_z
Pm1 Pm 0.0660 0.2174 0.4080
Pm2 Pm 0.0754 0.8851 0.7983
Er1 Er 0.0000 0.0000 0.0000
Pb1 Pb 0.0304 0.5910 0.7250
```

Main lines, by angle (5 to 70 degrees two-theta):
- (2 -1 3), d = 3.825 Å, 2θ = 23.25°, intensity 24
- (0 2 4), d = 3.035 Å, 2θ = 29.43°, intensity 27
- (0 1 5), d = 2.901 Å, 2θ = 30.82°, intensity 51
- (0 3 3), d = 2.812 Å, 2θ = 31.82°, intensity 87
- (4 -3 1), d = 2.770 Å, 2θ = 32.32°, intensity 96
- (3 -1 4), d = 2.695 Å, 2θ = 33.24°, intensity 44
- (3 1 2), d = 2.641 Å, 2θ = 33.95°, intensity 100
- (2 5 0), d = 1.627 Å, 2θ = 56.57°, intensity 16
- (4 2 5), d = 1.621 Å, 2θ = 56.78°, intensity 19
- (7 -5 3), d = 1.548 Å, 2θ = 59.72°, intensity 15